Theoretical PXRD pattern
Compound: V4O5F7
Radiation: Cu Kα (weighted mean of Kα1 and Kα2)
Structure: the PBE+U geometry in Alexandria
Intensities are scaled so that the largest is 100.

Largest 8 diffraction maxima, low angle first, 2θ = 10–80°:
hkl  d_spacing  2theta  I (rel.)
0 1 1  3.840  23.16  92
1 1 -1  3.765  23.63  91
1 0 2  3.741  23.78  100
0 2 2  1.920  47.35  24
2 2 -2  1.883  48.35  20
2 0 4  1.871  48.67  23
1 3 1  1.711  53.58  19
2 3 -1  1.690  54.28  24

```
data_V4O5F7
_symmetry_space_group_name_H-M 'P 1'
_symmetry_Int_Tables_number 1
_symmetry_space_group_name_Hall 'P 1'
_cell_length_a 5.2897
_cell_length_b 5.3817
_cell_length_c 9.1994
_cell_angle_alpha 89.94
_cell_angle_beta 73.79
_cell_angle_gamma 60.70
loop_
_atom_site_label
_atom_site_type_symbol
_atom_site_fract_x
_atom_site_fract_y
_atom_site_fract_z
V1 V 0.0000 0.0000 0.0000
V2 V 0.0377 0.5178 0.5013
V3 V 0.4805 0.7758 0.2469
V4 V 0.5337 0.2582 0.7480
O1 O 0.2164 0.4203 0.6342
O2 O 0.2633 0.9053 0.1317
O3 O 0.2657 0.6921 0.3891
O4 O 0.7873 0.1296 0.8461
O5 O 0.8034 0.8514 0.0939
F1 F 0.2271 0.2027 0.8952
F2 F 0.3303 0.6630 0.8477
F3 F 0.3483 0.1485 0.3534
F4 F 0.6873 0.8859 0.6217
F5 F 0.7223 0.3898 0.1301
F6 F 0.7852 0.3358 0.5731
F7 F 0.8231 0.6218 0.3434
```